This entry pairs a crystal structure of LaFe2Co3 with its theoretical powder X-ray diffraction pattern. Radiation: copper Kα. Structure: a DFT-relaxed cell (GGA-PBE, Alexandria).

Top 10 peaks for 15° ≤ 2θ ≤ 90°, low angle first:
d_spacing	Rel. int.
3.738	30
3.036	37
2.582	70
2.563	47
2.542	100
2.452	58
2.117	30
2.022	56
1.907	28
1.887	40

Atomic structure:
```
data_LaFe2Co3
_chemical_formula_sum 'La4 Fe8 Co12'
_cell_length_a 9.8070
_cell_length_b 7.9646
_cell_length_c 4.6927
_cell_angle_alpha 90.00
_cell_angle_beta 90.00
_cell_angle_gamma 90.00
_symmetry_space_group_name_H-M 'C m c m'
_symmetry_Int_Tables_number 63
_symmetry_space_group_name_Hall '-C 2c 2'
loop_
_atom_site_label
_atom_site_fract_x
_atom_site_fract_y
_atom_site_fract_z
La1 0.0000 0.1841 0.2500
Fe1 0.2094 0.5000 0.0000
Co1 0.0000 0.4351 0.7500
Co2 0.2042 0.2400 0.7500
```